Theoretical XRD peak list
Compound: Mg4H5Ir
Radiation: Cu Kα (λ = 1.5418 Å)
Structure: a DFT-relaxed cell (GGA-PBE, Alexandria)

Peak list (10 most intense, 10° ≤ 2θ ≤ 90°, most intense first)
d = 4.244 Å, 20.93 deg, rel. 100, hkl 1 1 0
d = 2.352 Å, 38.26 deg, rel. 72, hkl 0 0 2
d = 5.161 Å, 17.18 deg, rel. 63, hkl 0 2 0
d = 4.697 Å, 18.89 deg, rel. 61, hkl 0 0 1
d = 3.474 Å, 25.64 deg, rel. 59, hkl 0 2 1
d = 2.415 Å, 37.23 deg, rel. 51, hkl 1 3 -1
d = 2.767 Å, 32.36 deg, rel. 38, hkl 1 3 0
d = 2.328 Å, 38.68 deg, rel. 24, hkl 2 0 0
d = 3.222 Å, 27.69 deg, rel. 24, hkl 1 1 -1
d = 1.764 Å, 51.82 deg, rel. 22, hkl 1 5 -1

Cell lengths 4.661, 10.322, 4.703 Å; angles 90.00, 92.82, 90.00 degrees
Space group Cm (No. 8)
Symmetry-distinct sites (fractional):
Mg 0.000 0.138 0.000 (multiplicity 4)
Mg 0.042 0.352 0.527 (multiplicity 4)
H 0.067 0.317 0.982 (multiplicity 4)
H 0.263 0.500 0.264 (multiplicity 2)
H 0.289 0.000 0.770 (multiplicity 2)
H 0.291 0.000 0.251 (multiplicity 2)
Ir 0.044 0.000 0.499 (multiplicity 2)

=====

Theoretical XRD peak list
Compound: Nd4Dy5Er3
Radiation: Cu Kα (λ = 1.5418 Å)
Structure: a DFT-relaxed cell (GGA-PBE, Alexandria)

Peak list (10 most intense, 10° ≤ 2θ ≤ 90°, most intense first)
d = 2.962 Å, 30.17 deg, rel. 100, hkl 0 2 0
d = 2.760 Å, 32.44 deg, rel. 76, hkl 5 1 -2
d = 2.680 Å, 33.43 deg, rel. 66, hkl 1 1 -3
d = 2.819 Å, 31.75 deg, rel. 51, hkl 5 1 -1
d = 2.873 Å, 31.13 deg, rel. 43, hkl 4 0 1
d = 2.062 Å, 43.91 deg, rel. 34, hkl 4 2 1
d = 2.743 Å, 32.65 deg, rel. 30, hkl 3 1 -3
d = 3.036 Å, 29.42 deg, rel. 29, hkl 3 1 1
d = 3.119 Å, 28.62 deg, rel. 27, hkl 2 0 -3
d = 1.542 Å, 59.98 deg, rel. 26, hkl 6 2 -5

Cell lengths 16.137, 5.924, 9.381 Å; angles 90.00, 116.76, 90.00 degrees
Space group C2/m (No. 12)
Symmetry-distinct sites (fractional):
Nd 0.084 0.000 0.446 (multiplicity 4)
Nd 0.217 0.000 0.881 (multiplicity 4)
Dy 0.000 0.000 0.000 (multiplicity 2)
Dy 0.071 0.500 0.703 (multiplicity 4)
Dy 0.171 0.500 0.384 (multiplicity 4)
Er 0.000 0.500 0.000 (multiplicity 2)
Er 0.212 0.000 0.235 (multiplicity 4)

=====

Theoretical XRD peak list
Compound: Li2Pm2DyMg5
Radiation: Cu Kα (λ = 1.5418 Å)
Structure: a DFT-relaxed cell (GGA-PBE, Alexandria)

Peak list (10 most intense, 10° ≤ 2θ ≤ 90°, most intense first)
d = 2.689 Å, 33.32 deg, rel. 100, hkl 3 1 1
d = 3.254 Å, 27.41 deg, rel. 74, hkl 2 1 1
d = 2.878 Å, 31.08 deg, rel. 57, hkl 2 2 1
d = 4.775 Å, 18.58 deg, rel. 54, hkl 2 1 0
d = 4.447 Å, 19.97 deg, rel. 44, hkl 0 0 1
d = 2.589 Å, 34.64 deg, rel. 44, hkl 4 1 0
d = 3.376 Å, 26.40 deg, rel. 44, hkl 3 1 0
d = 1.693 Å, 54.17 deg, rel. 33, hkl 5 3 1
d = 3.775 Å, 23.57 deg, rel. 31, hkl 2 2 0
d = 1.687 Å, 54.39 deg, rel. 24, hkl 4 1 2

Cell lengths 10.676, 10.676, 4.447 Å; angles 90.00, 90.00, 90.00 degrees
Space group P4/mbm (No. 127)
Symmetry-distinct sites (fractional):
Li 0.114 0.386 0.000 (multiplicity 4)
Pm 0.181 0.681 0.000 (multiplicity 4)
Dy 0.000 0.000 0.000 (multiplicity 2)
Mg 0.000 0.500 0.500 (multiplicity 2)
Mg 0.061 0.214 0.500 (multiplicity 8)

=====

Theoretical XRD peak list
Compound: Sm2Tm5
Radiation: Cu Kα (λ = 1.5418 Å)
Structure: a DFT-relaxed cell (GGA-PBE, Alexandria)

Peak list (10 most intense, 10° ≤ 2θ ≤ 90°, most intense first)
d = 2.725 Å, 32.87 deg, rel. 100, hkl 2 2 1
d = 2.803 Å, 31.93 deg, rel. 24, hkl 4 0 2
d = 3.118 Å, 28.63 deg, rel. 24, hkl 3 1 -2
d = 1.515 Å, 61.18 deg, rel. 23, hkl 1 3 4
d = 2.085 Å, 43.41 deg, rel. 16, hkl 1 1 4
d = 1.603 Å, 57.50 deg, rel. 14, hkl 6 2 3
d = 1.800 Å, 50.73 deg, rel. 13, hkl 3 3 -2
d = 1.503 Å, 61.73 deg, rel. 11, hkl 4 2 -5
d = 1.154 Å, 83.85 deg, rel. 9, hkl 7 1 -7
d = 1.106 Å, 88.39 deg, rel. 8, hkl 2 0 8

Cell lengths 15.576, 6.232, 9.130 Å; angles 90.00, 96.08, 90.00 degrees
Space group C2/c (No. 15)
Symmetry-distinct sites (fractional):
Sm 0.073 0.168 0.108 (multiplicity 8)
Tm 0.000 0.334 0.750 (multiplicity 4)
Tm 0.145 0.335 0.465 (multiplicity 8)
Tm 0.214 0.167 0.822 (multiplicity 8)